Diffraction record for YTlTe2. The powder diffraction line list is calculated, not measured: it uses a DFT-relaxed cell (GGA-PBE, Alexandria) and Cu Kα, 1.54184 Å.
Intensities are scaled so that the largest is 100.

Crystal structure
```
data_YTlTe2
_cell_length_a 4.4413
_cell_length_b 4.4413
_cell_length_c 8.3830
_cell_angle_alpha 90.00
_cell_angle_beta 90.00
_cell_angle_gamma 120.00
_symmetry_space_group_name_H-M 'P -3 m 1'
_symmetry_Int_Tables_number 164
_symmetry_space_group_name_Hall '-P 3 2"'
loop_
_atom_site_label
_atom_site_type_symbol
_atom_site_fract_x
_atom_site_fract_y
_atom_site_fract_z
_atom_site_occupancy
Y1 Y 0.0000 0.0000 0.0000 1
Tl1 Tl 0.0000 0.0000 0.5000 1
Te1 Te 0.3333 0.6667 0.7900 1
```

Peak list (10 most intense, 2θ = 10–90°, low angle first)
d (Å)  two_theta  I (rel.)
3.846  23.12  18
3.496  25.48  64
2.834  31.57  100
2.221  40.63  43
1.874  48.57  11
1.840  49.53  14
1.748  52.34  24
1.739  52.65  11
1.524  60.77  16
1.373  68.29  22

Diffraction record for Y5Tl2Te2. The powder diffraction line list is calculated, not measured: it uses a DFT-relaxed cell (GGA-PBE, Alexandria) and Cu Kα, 1.54184 Å.
Intensities are scaled so that the largest is 100.

Crystal structure
```
data_Y5Tl2Te2
_cell_length_a 15.622
_cell_length_b 8.114
_cell_length_c 8.134
_cell_angle_alpha 90.00
_cell_angle_beta 90.00
_cell_angle_gamma 90.00
_symmetry_space_group_name_H-M 'C m c e'
_symmetry_Int_Tables_number 64
_symmetry_space_group_name_Hall '-C 2ac 2'
loop_
_atom_site_label
_atom_site_type_symbol
_atom_site_fract_x
_atom_site_fract_y
_atom_site_fract_z
_atom_site_occupancy
Y1 Y 0.000 0.000 0.000 1
Y2 Y 0.137 0.167 0.335 1
Tl1 Tl 0.000 0.134 0.632 1
Te1 Te 0.202 0.000 0.000 1
```

Peak list (10 most intense, 2θ = 10–90°, low angle first)
d (Å)  two_theta  I (rel.)
7.811  11.33  38
3.292  27.08  44
2.981  29.97  88
2.872  31.14  27
2.815  31.78  26
2.659  33.71  69
2.604  34.44  27
2.535  35.41  100
2.370  37.97  28
1.984  45.72  45

Diffraction record for YTlTe2. The powder diffraction line list is calculated, not measured: it uses a DFT-relaxed cell (GGA-PBE, Alexandria) and Cu Kα, 1.54184 Å.
Intensities are scaled so that the largest is 100.

Crystal structure
```
data_YTlTe2
_cell_length_a 3.994
_cell_length_b 4.269
_cell_length_c 16.907
_cell_angle_alpha 90.00
_cell_angle_beta 90.00
_cell_angle_gamma 90.00
_symmetry_space_group_name_H-M 'I m m 2'
_symmetry_Int_Tables_number 44
loop_
_symmetry_equiv_pos_as_xyz
'x,y,z'
'-x,-y,z'
'-x,y,z'
'x,-y,z'
'x+1/2,y+1/2,z+1/2'
'-x+1/2,-y+1/2,z+1/2'
'-x+1/2,y+1/2,z+1/2'
'x+1/2,-y+1/2,z+1/2'
loop_
_atom_site_label
_atom_site_type_symbol
_atom_site_fract_x
_atom_site_fract_y
_atom_site_fract_z
_atom_site_occupancy
Y1 Y 0.000 0.000 0.000 1
Tl1 Tl 0.000 0.500 0.236 1
Te1 Te 0.000 0.000 0.428 1
Te2 Te 0.000 0.500 0.635 1
```

Peak list (10 most intense, 2θ = 10–90°, low angle first)
d (Å)  two_theta  I (rel.)
4.227  21.02  23
3.887  22.88  19
3.403  26.19  61
2.757  32.47  100
2.581  34.76  49
2.135  42.34  17
2.102  43.03  24
1.722  53.18  17
1.645  55.90  25
1.448  64.34  15

Diffraction record for Y3TlTe. The powder diffraction line list is calculated, not measured: it uses a DFT-relaxed cell (GGA-PBE, Alexandria) and Cu Kα, 1.54184 Å.
Intensities are scaled so that the largest is 100.

Crystal structure
```
data_Y3TlTe
_cell_length_a 8.609
_cell_length_b 4.176
_cell_length_c 9.458
_cell_angle_alpha 90.00
_cell_angle_beta 113.63
_cell_angle_gamma 90.00
_symmetry_space_group_name_H-M 'P 1 m 1'
_symmetry_Int_Tables_number 6
loop_
_symmetry_equiv_pos_as_xyz
'x,y,z'
'x,-y,z'
loop_
_atom_site_label
_atom_site_type_symbol
_atom_site_fract_x
_atom_site_fract_y
_atom_site_fract_z
_atom_site_occupancy
Y1 Y 0.000 0.000 0.000 1
Y2 Y 0.010 0.500 0.678 1
Y3 Y 0.152 0.500 0.362 1
Y4 Y 0.373 0.500 0.015 1
Y5 Y 0.560 0.500 0.742 1
Y6 Y 0.776 0.000 0.333 1
Tl1 Tl 0.271 0.000 0.671 1
Tl2 Tl 0.776 0.500 0.093 1
Te1 Te 0.370 0.000 0.257 1
Te2 Te 0.749 0.000 0.651 1
```

Peak list (10 most intense, 2θ = 10–90°, low angle first)
d (Å)  two_theta  I (rel.)
4.333  20.50  45
3.944  22.55  34
3.762  23.65  37
3.112  28.68  67
2.995  29.84  41
2.889  30.96  51
2.795  32.02  96
2.513  35.73  100
2.148  42.07  34
2.088  43.34  48

Diffraction record for Y2Tl2Te. The powder diffraction line list is calculated, not measured: it uses a DFT-relaxed cell (GGA-PBE, Alexandria) and Cu Kα, 1.54184 Å.
Intensities are scaled so that the largest is 100.

Crystal structure
```
data_Y2Tl2Te
_cell_length_a 7.954
_cell_length_b 7.954
_cell_length_c 4.774
_cell_angle_alpha 90.00
_cell_angle_beta 90.00
_cell_angle_gamma 90.00
_symmetry_space_group_name_H-M 'P 4/m b m'
_symmetry_Int_Tables_number 127
_symmetry_space_group_name_Hall '-P 4 2ab'
loop_
_atom_site_label
_atom_site_type_symbol
_atom_site_fract_x
_atom_site_fract_y
_atom_site_fract_z
_atom_site_occupancy
Y1 Y 0.162 0.338 0.000 1
Tl1 Tl 0.143 0.643 0.500 1
Te1 Te 0.000 0.000 0.000 1
```

Peak list (10 most intense, 2θ = 10–90°, low angle first)
d (Å)  two_theta  I (rel.)
3.640  24.46  25
3.557  25.03  12
2.852  31.36  100
2.515  35.70  35
2.387  37.68  19
1.836  49.66  10
1.789  51.06  9
1.731  52.88  23
1.453  64.11  13
1.411  66.23  17

Diffraction record for Y4TlTe. The powder diffraction line list is calculated, not measured: it uses a DFT-relaxed cell (GGA-PBE, Alexandria) and Cu Kα, 1.54184 Å.
Intensities are scaled so that the largest is 100.

Crystal structure
```
data_Y4TlTe
_cell_length_a 7.410
_cell_length_b 4.666
_cell_length_c 21.013
_cell_angle_alpha 90.00
_cell_angle_beta 90.00
_cell_angle_gamma 90.00
_symmetry_space_group_name_H-M 'P n m a'
_symmetry_Int_Tables_number 62
loop_
_symmetry_equiv_pos_as_xyz
'x,y,z'
'-x,-y,-z'
'-x+1/2,-y,z+1/2'
'x+1/2,y,-z+1/2'
'x+1/2,-y+1/2,-z+1/2'
'-x+1/2,y+1/2,z+1/2'
'-x,y+1/2,-z'
'x,-y+1/2,z'
loop_
_atom_site_label
_atom_site_type_symbol
_atom_site_fract_x
_atom_site_fract_y
_atom_site_fract_z
_atom_site_occupancy
Y1 Y 0.051 0.250 0.077 1
Y2 Y 0.070 0.250 0.358 1
Y3 Y 0.086 0.250 0.783 1
Y4 Y 0.140 0.250 0.528 1
Tl1 Tl 0.217 0.250 0.929 1
Te1 Te 0.204 0.250 0.216 1
```

Peak list (10 most intense, 2θ = 10–90°, low angle first)
d (Å)  two_theta  I (rel.)
6.055  14.63  27
3.881  22.91  46
3.123  28.59  28
2.901  30.82  75
2.782  32.18  50
2.681  33.43  100
2.390  37.64  93
2.333  38.60  54
2.235  40.35  35
1.787  51.10  26

Diffraction record for Zr3TlTe6. The powder diffraction line list is calculated, not measured: it uses a DFT-relaxed cell (GGA-PBE, Alexandria) and Cu Kα, 1.54184 Å.
Intensities are scaled so that the largest is 100.

Crystal structure
```
data_Zr3TlTe6
_cell_length_a 12.739
_cell_length_b 3.991
_cell_length_c 12.929
_cell_angle_alpha 90.00
_cell_angle_beta 107.19
_cell_angle_gamma 90.00
_symmetry_space_group_name_H-M 'P 1 21/m 1'
_symmetry_Int_Tables_number 11
loop_
_symmetry_equiv_pos_as_xyz
'x,y,z'
'-x,-y,-z'
'-x,y+1/2,-z'
'x,-y+1/2,z'
loop_
_atom_site_label
_atom_site_type_symbol
_atom_site_fract_x
_atom_site_fract_y
_atom_site_fract_z
_atom_site_occupancy
Zr1 Zr 0.020 0.250 0.139 1
Zr2 Zr 0.203 0.250 0.773 1
Zr3 Zr 0.353 0.750 0.460 1
Tl1 Tl 0.396 0.750 0.119 1
Te1 Te 0.043 0.750 0.663 1
Te2 Te 0.145 0.250 0.976 1
Te3 Te 0.178 0.750 0.252 1
Te4 Te 0.253 0.250 0.560 1
Te5 Te 0.372 0.750 0.855 1
Te6 Te 0.454 0.250 0.353 1
```

Peak list (10 most intense, 2θ = 10–90°, low angle first)
d (Å)  two_theta  I (rel.)
3.337  26.71  25
3.180  28.06  28
3.157  28.27  69
3.099  28.81  100
2.906  30.77  34
2.826  31.66  19
2.607  34.40  25
2.101  43.06  36
2.078  43.55  20
1.996  45.45  32

Diffraction record for TmTe. The powder diffraction line list is calculated, not measured: it uses a DFT-relaxed cell (GGA-PBE, Alexandria) and Cu Kα, 1.54184 Å.
Intensities are scaled so that the largest is 100.

Crystal structure
```
data_TmTe
_cell_length_a 4.027
_cell_length_b 4.027
_cell_length_c 13.965
_cell_angle_alpha 90.00
_cell_angle_beta 90.00
_cell_angle_gamma 90.00
_symmetry_space_group_name_H-M 'I 41 m d'
_symmetry_Int_Tables_number 109
_symmetry_space_group_name_Hall 'I 4bw -2'
loop_
_atom_site_label
_atom_site_type_symbol
_atom_site_fract_x
_atom_site_fract_y
_atom_site_fract_z
_atom_site_occupancy
Tm1 Tm 0.000 0.000 0.000 1
Te1 Te 0.000 0.000 0.586 1
```

Peak list (10 most intense, 2θ = 10–90°, low angle first)
d (Å)  two_theta  I (rel.)
3.869  22.99  17
3.491  25.51  17
3.045  29.33  53
2.637  34.00  100
2.295  39.26  43
2.013  45.03  31
1.787  51.10  23
1.680  54.65  19
1.513  61.24  23
1.253  75.93  30